For Te6MoW3Se2, a PBE-relaxed structure gives the computed powder diffraction line list in this record (Cu Kα (weighted mean of Kα1 and Kα2)).

Atomic structure:
Unit cell a=3.4930 b=3.4930 c=29.5264 alpha=90.00 beta=90.00 gamma=120.00
Element x y z (fractional)
Te (0.0000, 0.0000, 0.0000)
Te (0.0000, 0.0000, 0.1242)
Te (0.6667, 0.3333, 0.2540)
Te (0.6667, 0.3333, 0.3788)
Te (0.6667, 0.3333, 0.7450)
Te (0.6667, 0.3333, 0.8699)
Mo (0.6667, 0.3333, 0.0621)
W (0.0000, 0.0000, 0.3164)
W (0.0000, 0.0000, 0.8075)
W (0.6667, 0.3333, 0.5618)
Se (0.0000, 0.0000, 0.5068)
Se (0.0000, 0.0000, 0.6168)

Principal peaks in the range 2θ = 15–90°, sorted by position:
| 2theta | I/Imax |
| --- | --- |
| 29.5 | 41 |
| 32.0 | 14 |
| 34.8 | 100 |
| 42.8 | 63 |
| 52.4 | 33 |
| 53.9 | 11 |
| 64.4 | 17 |
| 69.9 | 15 |
| 74.9 | 19 |
| 87.6 | 15 |